# NaNb6O15F
Calculated powder XRD pattern, Cu Kα X-rays. Input: a structure optimized by DFT (PBE).

The 8 most intense peaks (10° ≤ 2θ ≤ 90°), by angle:
2θ/deg	I/Imax
22.66	100
24.12	36
26.59	67
29.76	34
33.34	18
35.21	29
46.28	27
54.18	26

Crystal structure
a = 3.923 Å, b = 9.006 Å, c = 9.006 Å
α = 69.97°, β = 90.00°, γ = 90.00°
Atoms (fractional coordinates):
Na1 0.000 0.000 0.000
Nb1 0.500 0.025 0.669
Nb2 0.500 0.184 0.184
Nb3 0.500 0.402 0.402
Nb4 0.500 0.409 0.776
Nb5 0.500 0.669 0.025
Nb6 0.500 0.776 0.409
O1 0.000 0.039 0.689
O2 0.000 0.181 0.181
O3 0.000 0.411 0.765
O4 0.000 0.689 0.039
O5 0.000 0.765 0.411
O6 0.500 0.171 0.414
O7 0.500 0.217 0.955
O8 0.500 0.260 0.634
O9 0.500 0.414 0.171
O10 0.500 0.540 0.540
O11 0.500 0.576 0.865
O12 0.500 0.634 0.260
O13 0.500 0.865 0.576
O14 0.500 0.896 0.896
O15 0.500 0.955 0.217
F1 0.000 0.403 0.403